For Pm7In2Si, a GGA-PBE-relaxed structure gives the computed powder diffractogram in this record (Cu Kα (λ = 1.5418 Å)).

Largest 10 diffraction maxima, by angle, 2θ = 15–90°:
Position (°2θ)	intensity
16.04	18
27.96	100
32.40	97
46.47	70
55.11	44
57.79	24
67.82	11
74.89	18
77.18	31
86.20	24

Crystal structure
```
10
Lattice="0.0000 5.5271 5.5271 5.5271 0.0000 5.5271 5.5271 5.5271 0.0000" Properties=species:S:1:pos:R:3 pbc="T T T"
Pm 0.0000 0.0000 0.0000
Pm 5.5271 5.5271 2.8258
Pm 5.5271 2.8258 5.5271
Pm 8.2285 5.5271 5.5271
Pm 2.8258 5.5271 5.5271
Pm 5.5271 8.2285 5.5271
Pm 5.5271 5.5271 8.2285
In 2.7636 2.7636 2.7636
In 8.2907 8.2907 8.2907
Si 5.5271 5.5271 5.5271
```